(1)
# LiHS
Theoretical XRD peak list, λ = 1.5418 Å (Cu Kα). Input: DFT lattice parameters and positions (GGA-PBE).
Peak positions follow from Bragg's law for the DFT cell and can differ from measured ones.

Cell lengths 6.165, 3.943, 7.856 Å; angles 90.00, 90.00, 90.00 degrees
Positions (direct):
Li1 0.250 0.001 0.000
Li2 0.250 0.999 0.500
Li3 0.750 0.001 0.000
Li4 0.750 0.999 0.500
H1 0.000 0.375 0.249
H2 0.000 0.625 0.749
H3 0.500 0.486 0.315
H4 0.500 0.514 0.815
S1 0.000 0.033 0.249
S2 0.000 0.967 0.749
S3 0.500 0.498 0.486
S4 0.500 0.502 0.986

Main lines, in order of rising 2θ (2θ = 10–90°):
h k l  2θ (°)  Rel. int.
1 0 2  26.9  100
2 0 0  29.0  16
0 1 2  32.2  19
2 1 2  43.8  28
0 2 0  46.0  6
0 0 4  46.2  6
3 0 2  50.1  14
1 2 2  54.1  10
1 1 4  54.3  10
3 1 4  70.5  5

(2)
# NdCu5
Theoretical XRD peak list, λ = 1.5418 Å (Cu Kα). Input: DFT lattice parameters and positions (GGA-PBE).
Peak positions follow from Bragg's law for the DFT cell and can differ from measured ones.

Cell lengths 5.112, 5.112, 4.101 Å; angles 90.00, 90.00, 120.00 degrees
Positions (direct):
Nd1 0.000 0.000 0.000
Cu1 0.000 0.500 0.500
Cu2 0.333 0.667 0.000
Cu3 0.500 0.000 0.500
Cu4 0.500 0.500 0.500
Cu5 0.667 0.333 0.000

Main lines, in order of rising 2θ (2θ = 10–90°):
h k l  2θ (°)  Rel. int.
1 0 1  29.7  42
1 1 0  35.1  30
2 0 0  40.8  34
1 1 1  41.6  100
0 0 2  44.2  27
1 1 2  57.6  14
2 0 2  61.7  19
3 0 1  67.4  22
2 2 0  74.2  16
1 1 3  79.5  14